The following is a theoretical PXRD pattern of Li3AlMo2As2O14. It was derived from a structure optimized by DFT (PBE+U), using copper Kα.

Crystal structure
a b c (Å): 5.273 5.493 9.606
angles (deg): 96.83 102.04 105.46
Sites, in units of the cell vectors:
Li  0.000  0.000  0.000
Li  0.194  0.884  0.319
Li  0.806  0.116  0.681
Al  0.500  0.500  0.500
Mo  0.492  0.338  0.853
Mo  0.508  0.662  0.147
As  0.151  0.728  0.674
As  0.849  0.272  0.326
O  0.134  0.303  0.459
O  0.134  0.482  0.768
O  0.157  0.007  0.788
O  0.284  0.838  0.097
O  0.322  0.337  0.035
O  0.430  0.793  0.602
O  0.443  0.632  0.324
O  0.557  0.368  0.676
O  0.570  0.207  0.398
O  0.678  0.663  0.965
O  0.716  0.162  0.903
O  0.843  0.993  0.212
O  0.866  0.518  0.232
O  0.866  0.697  0.541

Peak list (12 most intense, 10 to 80 degrees two-theta, low angle first)
2θ (°)	I (rel.)	(hkl)
17.04	50	0 1 0
18.03	35	1 0 0
18.18	100	1 0 -1
23.27	84	0 1 -2
23.52	82	1 -1 1
27.44	30	1 1 -1
28.12	61	0 1 2
28.46	33	1 1 0
30.14	48	1 0 -3
34.76	32	-1 1 3
35.36	23	2 -1 0
35.72	31	-1 2 1